Entry 1:
PdN: calculated X-ray powder pattern (Cu Kα), based on DFT lattice parameters and positions (PBE).
Neutral-atom scattering factors, no anomalous dispersion.

Structural model:
a = 2.936 Å, b = 2.936 Å, c = 5.705 Å
α = 90.00°, β = 90.00°, γ = 90.00°
Sites, in units of the cell vectors:
Pd 0.000 0.500 0.000
Pd 0.500 0.000 0.500
N 0.000 0.000 0.250
N 0.000 0.000 0.750

Main lines, by intensity (5° ≤ 2θ ≤ 70°):
Position (°2θ)	I (rel.)
34.35	1000
54.68	314
31.36	242
57.76	218
43.59	200
63.35	98
65.43	44
30.44	12
44.27	6


Entry 2:
PdN: calculated X-ray powder pattern (Cu Kα), based on DFT lattice parameters and positions (PBE).
Neutral-atom scattering factors, no anomalous dispersion.

Structural model:
a = 3.377 Å, b = 3.377 Å, c = 8.947 Å
α = 90.00°, β = 90.00°, γ = 120.00°
Sites, in units of the cell vectors:
Pd 0.333 0.667 0.250
Pd 0.667 0.333 0.750
N 0.333 0.667 0.750
N 0.667 0.333 0.250

Main lines, by intensity (5° ≤ 2θ ≤ 70°):
Position (°2θ)	I (rel.)
19.85	1000
32.20	766
43.33	344
36.71	296
58.41	287
30.56	248
54.33	181
69.78	164
40.32	150
60.67	130